No. 1
The following is a computed powder diffractogram of Li5MnCo2O8. It was derived from a crystal structure in the Materials Project, relaxed with PBE+U, using Cu Kα (weighted mean of Kα1 and Kα2).
Lines closer than 0.1° are merged.

Crystal structure
Cell lengths 5.0446, 2.9394, 9.7715 Å; angles 90.00, 101.93, 90.00 degrees
Atoms (fractional coordinates):
1 Li 0.0000 0.0000 0.0000
2 Li 0.0073 0.5000 0.4994
3 Li 0.2407 0.5000 0.2592
4 Li 0.4771 0.0000 0.5014
5 Li 0.7477 0.5000 0.7533
6 Mn 0.7566 0.0000 0.2608
7 Co 0.2386 0.0000 0.7411
8 Co 0.4805 0.5000 0.0009
9 O 0.0983 0.0000 0.3689
10 O 0.1329 0.5000 0.8782
11 O 0.3707 0.5000 0.6372
12 O 0.3931 0.0000 0.1249
13 O 0.5816 0.0000 0.8746
14 O 0.6348 0.5000 0.3634
15 O 0.8452 0.5000 0.1366
16 O 0.9144 0.0000 0.6436

The 12 most intense peaks (10° ≤ 2θ ≤ 90°), by angle:
2θ = 17.97°, 4.936 Å, intensity 8.7; 2θ = 18.45°, 4.810 Å, intensity 100.0; 2θ = 18.56°, 4.780 Å, intensity 11.5; 2θ = 35.86°, 2.504 Å, intensity 30.8; 2θ = 36.59°, 2.456 Å, intensity 10.6; 2θ = 43.29°, 2.090 Å, intensity 64.7; 2θ = 44.67°, 2.029 Å, intensity 27.5; 2θ = 57.15°, 1.612 Å, intensity 9.5; 2θ = 62.51°, 1.486 Å, intensity 8.4; 2θ = 63.28°, 1.470 Å, intensity 8.9; 2θ = 63.80°, 1.459 Å, intensity 15.5; 2θ = 64.12°, 1.452 Å, intensity 15.7

***

No. 2
The following is a computed powder diffractogram of Li4MnCo2O7. It was derived from a crystal structure in the Materials Project, relaxed with PBE+U, using Cu Kα (weighted mean of Kα1 and Kα2).
Lines closer than 0.1° are merged.

Crystal structure
Cell lengths 4.9596, 5.8747, 8.9274 Å; angles 90.32, 96.24, 106.09 degrees
Atoms (fractional coordinates):
1 Li 0.0000 0.0000 0.0000
2 Li 0.0025 0.5087 0.0021
3 Li 0.1458 0.2981 0.2690
4 Li 0.2763 0.5740 0.5747
5 Li 0.4187 0.8593 0.8655
6 Li 0.5760 0.1513 0.1375
7 Li 0.7055 0.4367 0.4281
8 Li 0.8569 0.7135 0.7282
9 Mn 0.7063 0.9296 0.4310
10 Mn 0.8493 0.2168 0.7162
11 Co 0.1394 0.7900 0.2848
12 Co 0.2738 0.0732 0.5742
13 Co 0.4297 0.3679 0.8655
14 Co 0.5643 0.6462 0.1331
15 O 0.1288 0.0503 0.7695
16 O 0.1296 0.5058 0.7771
17 O 0.3043 0.8250 0.0840
18 O 0.3062 0.3323 0.0678
19 O 0.4133 0.0884 0.3755
20 O 0.4260 0.6375 0.3619
21 O 0.5617 0.3661 0.6437
22 O 0.5644 0.9178 0.6320
23 O 0.6969 0.6769 0.9302
24 O 0.7081 0.1870 0.9062
25 O 0.8580 0.9608 0.2387
26 O 0.8602 0.5003 0.2240
27 O 0.9811 0.2279 0.5124
28 O 0.9881 0.7800 0.5058

The 12 most intense peaks (10° ≤ 2θ ≤ 90°), by angle:
2θ = 18.32°, 4.842 Å, intensity 100.0; 2θ = 35.65°, 2.519 Å, intensity 13.8; 2θ = 36.13°, 2.486 Å, intensity 13.0; 2θ = 36.85°, 2.439 Å, intensity 11.7; 2θ = 43.02°, 2.103 Å, intensity 28.3; 2θ = 43.73°, 2.070 Å, intensity 27.1; 2θ = 44.49°, 2.036 Å, intensity 26.1; 2θ = 62.94°, 1.477 Å, intensity 14.8; 2θ = 63.09°, 1.473 Å, intensity 7.3; 2θ = 63.34°, 1.468 Å, intensity 7.2; 2θ = 64.26°, 1.449 Å, intensity 7.2; 2θ = 64.96°, 1.436 Å, intensity 6.8

***

No. 3
The following is a computed powder diffractogram of Li7Mn4CoO12. It was derived from a crystal structure in the Materials Project, relaxed with PBE+U, using Cu Kα (weighted mean of Kα1 and Kα2).
Lines closer than 0.1° are merged.

Crystal structure
Cell lengths 5.8540, 8.4641, 10.0979 Å; angles 114.62, 106.59, 90.31 degrees
Atoms (fractional coordinates):
1 Li 0.0000 0.0000 0.0000
2 Li 0.0004 0.5005 0.0010
3 Li 0.0006 0.0005 0.5007
4 Li 0.1650 0.1652 0.3306
5 Li 0.1738 0.1734 0.8402
6 Li 0.3333 0.3322 0.1611
7 Li 0.3355 0.3353 0.6705
8 Li 0.5001 0.0003 0.0005
9 Li 0.4997 0.5001 0.5007
10 Li 0.5008 0.5008 0.0016
11 Li 0.6650 0.6655 0.3312
12 Li 0.6667 0.6673 0.8403
13 Li 0.8273 0.8286 0.1613
14 Li 0.8353 0.8351 0.6702
15 Mn 0.1636 0.6644 0.3287
16 Mn 0.1679 0.6648 0.8357
17 Mn 0.3322 0.8296 0.1651
18 Mn 0.3346 0.8346 0.6690
19 Mn 0.6660 0.1662 0.3323
20 Mn 0.6683 0.1713 0.8363
21 Mn 0.8327 0.3356 0.1657
22 Mn 0.8368 0.3363 0.6728
23 Co 0.0002 0.5002 0.5007
24 Co 0.5002 0.0005 0.5007
25 O 0.0232 0.7506 0.4975
26 O 0.0246 0.7550 0.0002
27 O 0.1468 0.4291 0.8267
28 O 0.1533 0.4290 0.3211
29 O 0.1662 0.8911 0.3206
30 O 0.1706 0.8879 0.8231
31 O 0.3205 0.6029 0.1747
32 O 0.3240 0.5837 0.6802
33 O 0.3472 0.0654 0.1777
34 O 0.3586 0.0970 0.6805
35 O 0.4725 0.7426 0.0001
36 O 0.4725 0.7479 0.4970
37 O 0.5280 0.2529 0.5044
38 O 0.5280 0.2581 0.0014
39 O 0.6419 0.9039 0.3209
40 O 0.6532 0.9354 0.8234
41 O 0.6765 0.4168 0.3212
42 O 0.6801 0.3981 0.8269
43 O 0.8297 0.1124 0.1781
44 O 0.8343 0.1097 0.6808
45 O 0.8473 0.5716 0.6803
46 O 0.8537 0.5714 0.1749
47 O 0.9759 0.2456 0.0012
48 O 0.9774 0.2500 0.5040

The 12 most intense peaks (10° ≤ 2θ ≤ 90°), by angle:
2θ = 10.16°, 8.707 Å, intensity 10.4; 2θ = 18.38°, 4.826 Å, intensity 100.0; 2θ = 35.39°, 2.536 Å, intensity 13.4; 2θ = 36.12°, 2.487 Å, intensity 13.6; 2θ = 36.20°, 2.481 Å, intensity 11.9; 2θ = 42.73°, 2.116 Å, intensity 29.4; 2θ = 43.88°, 2.063 Å, intensity 27.3; 2θ = 43.99°, 2.059 Å, intensity 27.7; 2θ = 47.49°, 1.914 Å, intensity 8.1; 2θ = 62.82°, 1.479 Å, intensity 14.8; 2θ = 63.02°, 1.475 Å, intensity 7.5; 2θ = 63.16°, 1.472 Å, intensity 7.4

***

No. 4
The following is a computed powder diffractogram of Li2MnCo3O8. It was derived from a crystal structure in the Materials Project, relaxed with PBE+U, using Cu Kα (weighted mean of Kα1 and Kα2).
Lines closer than 0.1° are merged.

Crystal structure
Cell lengths 5.6560, 5.6560, 5.8281 Å; angles 117.63, 117.63, 60.44 degrees
Atoms (fractional coordinates):
1 Li 0.0000 0.5000 0.0000
2 Li 0.5000 0.0000 0.0000
3 Mn 0.0000 0.0000 0.5000
4 Co 0.0000 0.5000 0.5000
5 Co 0.5000 0.0000 0.5000
6 Co 0.5000 0.5000 0.5000
7 O 0.2323 0.2323 0.7099
8 O 0.2387 0.7297 0.7022
9 O 0.2701 0.2701 0.2954
10 O 0.2703 0.7613 0.2978
11 O 0.7297 0.2387 0.7022
12 O 0.7299 0.7299 0.7046
13 O 0.7613 0.2703 0.2978
14 O 0.7677 0.7677 0.2901

The 12 most intense peaks (10° ≤ 2θ ≤ 90°), by angle:
2θ = 18.04°, 4.917 Å, intensity 100.0; 2θ = 37.14°, 2.421 Å, intensity 20.8; 2θ = 37.15°, 2.420 Å, intensity 9.4; 2θ = 38.42°, 2.343 Å, intensity 6.0; 2θ = 43.91°, 2.062 Å, intensity 16.9; 2θ = 44.55°, 2.034 Å, intensity 33.0; 2θ = 47.83°, 1.902 Å, intensity 5.8; 2θ = 56.95°, 1.617 Å, intensity 5.2; 2θ = 58.01°, 1.590 Å, intensity 9.2; 2θ = 62.55°, 1.485 Å, intensity 8.8; 2θ = 66.10°, 1.414 Å, intensity 8.7; 2θ = 68.65°, 1.367 Å, intensity 8.3

***

No. 5
The following is a computed powder diffractogram of Li7Mn4CoO12. It was derived from a crystal structure in the Materials Project, relaxed with PBE+U, using Cu Kα (weighted mean of Kα1 and Kα2).
Lines closer than 0.1° are merged.

Crystal structure
Cell lengths 3.0034, 7.6447, 10.1672 Å; angles 72.73, 88.08, 81.98 degrees
Atoms (fractional coordinates):
1 Li 0.0000 0.0000 0.0000
2 Li 0.0033 0.9974 0.4947
3 Li 0.1723 0.6606 0.2531
4 Li 0.3161 0.3442 0.4875
5 Li 0.3371 0.3279 0.9977
6 Li 0.6542 0.6684 0.0001
7 Li 0.6630 0.6644 0.4833
8 Mn 0.1632 0.6660 0.7452
9 Mn 0.4958 0.9992 0.7460
10 Mn 0.8251 0.3388 0.2456
11 Mn 0.8293 0.3332 0.7440
12 Co 0.4990 0.9878 0.2410
13 O 0.0901 0.8538 0.3583
14 O 0.1140 0.8274 0.8654
15 O 0.2134 0.5033 0.6272
16 O 0.2825 0.4755 0.1366
17 O 0.3846 0.1770 0.3468
18 O 0.4448 0.1649 0.8618
19 O 0.5486 0.8363 0.6283
20 O 0.5636 0.8528 0.1293
21 O 0.7612 0.4823 0.3627
22 O 0.7803 0.4963 0.8628
23 O 0.8818 0.1658 0.6287
24 O 0.8913 0.1618 0.1341

The 12 most intense peaks (10° ≤ 2θ ≤ 90°), by angle:
2θ = 12.24°, 7.233 Å, intensity 9.1; 2θ = 18.28°, 4.854 Å, intensity 100.0; 2θ = 34.12°, 2.628 Å, intensity 19.0; 2θ = 36.40°, 2.468 Å, intensity 23.5; 2θ = 40.88°, 2.208 Å, intensity 36.7; 2θ = 44.30°, 2.045 Å, intensity 28.4; 2θ = 44.47°, 2.037 Å, intensity 27.2; 2θ = 61.75°, 1.502 Å, intensity 16.9; 2θ = 61.99°, 1.497 Å, intensity 8.8; 2θ = 62.19°, 1.493 Å, intensity 8.3; 2θ = 64.05°, 1.454 Å, intensity 9.3; 2θ = 65.12°, 1.432 Å, intensity 7.1

***

No. 6
The following is a computed powder diffractogram of Li7Mn2Co3O12. It was derived from a crystal structure in the Materials Project, relaxed with PBE+U, using Cu Kα (weighted mean of Kα1 and Kα2).
Lines closer than 0.1° are merged.

Crystal structure
Cell lengths 2.9464, 5.0720, 14.9874 Å; angles 96.35, 93.90, 103.96 degrees
Atoms (fractional coordinates):
1 Li 0.0000 0.0000 0.0000
2 Li 0.0029 0.5110 0.5004
3 Li 0.3452 0.8420 0.8356
4 Li 0.3505 0.3572 0.3325
5 Li 0.3594 0.6153 0.0819
6 Li 0.6276 0.1673 0.1570
7 Li 0.6653 0.6818 0.6634
8 Mn 0.0060 0.2613 0.7496
9 Mn 0.9971 0.7668 0.2420
10 Co 0.3247 0.0904 0.5819
11 Co 0.6516 0.9236 0.4160
12 Co 0.6854 0.4314 0.9230
13 O 0.0071 0.8900 0.1315
14 O 0.0253 0.3681 0.6268
15 O 0.3201 0.9836 0.7028
16 O 0.3235 0.1978 0.4605
17 O 0.3504 0.6919 0.9526
18 O 0.3817 0.5142 0.2117
19 O 0.6217 0.0212 0.2872
20 O 0.6420 0.8208 0.5410
21 O 0.6593 0.3041 0.0256
22 O 0.6858 0.5327 0.7970
23 O 0.9901 0.1538 0.8695
24 O 0.9899 0.6565 0.3703

The 12 most intense peaks (10° ≤ 2θ ≤ 90°), by angle:
2θ = 18.38°, 4.827 Å, intensity 100.0; 2θ = 34.86°, 2.573 Å, intensity 17.8; 2θ = 36.36°, 2.471 Å, intensity 11.6; 2θ = 36.76°, 2.445 Å, intensity 12.5; 2θ = 41.84°, 2.159 Å, intensity 33.6; 2θ = 44.34°, 2.043 Å, intensity 26.8; 2θ = 44.63°, 2.030 Å, intensity 27.0; 2θ = 62.42°, 1.488 Å, intensity 15.9; 2θ = 62.75°, 1.481 Å, intensity 8.3; 2θ = 63.25°, 1.470 Å, intensity 8.0; 2θ = 64.24°, 1.450 Å, intensity 7.1; 2θ = 65.22°, 1.430 Å, intensity 7.0

***

No. 7
The following is a computed powder diffractogram of Li7Mn2Co3O12. It was derived from a crystal structure in the Materials Project, relaxed with PBE+U, using Cu Kα (weighted mean of Kα1 and Kα2).
Lines closer than 0.1° are merged.

Crystal structure
Cell lengths 3.0251, 5.1263, 14.7870 Å; angles 95.67, 94.10, 104.19 degrees
Atoms (fractional coordinates):
1 Li 0.0000 0.0000 0.0000
2 Li 0.0065 0.2466 0.7526
3 Li 0.3336 0.5906 0.0843
4 Li 0.3356 0.0868 0.5815
5 Li 0.6644 0.9132 0.4185
6 Li 0.6664 0.4094 0.9157
7 Li 0.9935 0.7534 0.2474
8 Mn 0.3362 0.3313 0.3306
9 Mn 0.6638 0.6687 0.6694
10 Co 0.0000 0.5000 0.5000
11 Co 0.3498 0.8392 0.8419
12 Co 0.6502 0.1608 0.1581
13 O 0.0169 0.0957 0.8725
14 O 0.0350 0.6135 0.3787
15 O 0.3259 0.7097 0.9460
16 O 0.3472 0.4379 0.2093
17 O 0.3552 0.9403 0.7180
18 O 0.3592 0.2269 0.4542
19 O 0.6408 0.7731 0.5458
20 O 0.6448 0.0597 0.2820
21 O 0.6528 0.5621 0.7907
22 O 0.6741 0.2903 0.0540
23 O 0.9650 0.3865 0.6213
24 O 0.9831 0.9043 0.1275

The 12 most intense peaks (10° ≤ 2θ ≤ 90°), by angle:
2θ = 18.27°, 4.857 Å, intensity 100.0; 2θ = 34.18°, 2.623 Å, intensity 19.1; 2θ = 36.07°, 2.490 Å, intensity 11.6; 2θ = 36.83°, 2.440 Å, intensity 9.1; 2θ = 37.00°, 2.430 Å, intensity 6.8; 2θ = 41.00°, 2.201 Å, intensity 33.5; 2θ = 43.78°, 2.068 Å, intensity 26.6; 2θ = 44.99°, 2.015 Å, intensity 23.8; 2θ = 61.42°, 1.509 Å, intensity 8.4; 2θ = 61.64°, 1.505 Å, intensity 7.9; 2θ = 62.49°, 1.486 Å, intensity 15.0; 2θ = 63.90°, 1.457 Å, intensity 6.8

***

No. 8
The following is a computed powder diffractogram of Li4MnCo2O7. It was derived from a crystal structure in the Materials Project, relaxed with PBE+U, using Cu Kα (weighted mean of Kα1 and Kα2).
Lines closer than 0.1° are merged.

Crystal structure
Cell lengths 15.1016, 15.1016, 5.9005 Å; angles 95.84, 95.84, 10.95 degrees
Atoms (fractional coordinates):
1 Li 0.0000 0.0000 0.0000
2 Li 0.0020 0.0020 0.4987
3 Li 0.1408 0.1408 0.5733
4 Li 0.2928 0.2928 0.1479
5 Li 0.4347 0.4347 0.7128
6 Li 0.5688 0.5688 0.2899
7 Li 0.7184 0.7184 0.8556
8 Li 0.8621 0.8621 0.4262
9 Mn 0.1430 0.1430 0.0662
10 Mn 0.7175 0.7175 0.3637
11 Co 0.2919 0.2919 0.6451
12 Co 0.4383 0.4383 0.2259
13 Co 0.5646 0.5646 0.7680
14 Co 0.8615 0.8615 0.9393
15 O 0.0746 0.0746 0.5560
16 O 0.0797 0.0797 0.0142
17 O 0.2115 0.2115 0.1313
18 O 0.2170 0.2170 0.5888
19 O 0.3591 0.3591 0.6942
20 O 0.3602 0.3602 0.1685
21 O 0.4987 0.4987 0.2455
22 O 0.5055 0.5055 0.7578
23 O 0.6425 0.6425 0.2883
24 O 0.6475 0.6475 0.8504
25 O 0.7894 0.7894 0.4116
26 O 0.7886 0.7886 0.8787
27 O 0.9292 0.9292 0.9896
28 O 0.9310 0.9310 0.4396

The 12 most intense peaks (10° ≤ 2θ ≤ 90°), by angle:
2θ = 18.24°, 4.865 Å, intensity 100.0; 2θ = 35.03°, 2.561 Å, intensity 15.4; 2θ = 36.28°, 2.476 Å, intensity 24.1; 2θ = 37.67°, 2.388 Å, intensity 7.2; 2θ = 42.31°, 2.136 Å, intensity 27.5; 2θ = 43.93°, 2.061 Å, intensity 55.0; 2θ = 47.43°, 1.917 Å, intensity 12.5; 2θ = 57.74°, 1.597 Å, intensity 9.6; 2θ = 62.53°, 1.485 Å, intensity 14.5; 2θ = 62.73°, 1.481 Å, intensity 13.2; 2θ = 63.02°, 1.475 Å, intensity 7.2; 2θ = 64.72°, 1.440 Å, intensity 7.4

***

No. 9
The following is a computed powder diffractogram of Li2MnCoO4. It was derived from a crystal structure in the Materials Project, relaxed with PBE+U, using Cu Kα (weighted mean of Kα1 and Kα2).
Lines closer than 0.1° are merged.

Crystal structure
Cell lengths 19.4923, 19.4923, 19.4923 Å; angles 8.74, 8.74, 8.74 degrees
Atoms (fractional coordinates):
1 Li 0.0000 0.0000 0.0000
2 Li 0.2489 0.2489 0.2489
3 Li 0.5000 0.5000 0.5000
4 Li 0.7511 0.7511 0.7511
5 Mn 0.3752 0.3752 0.3752
6 Mn 0.6248 0.6248 0.6248
7 Co 0.1252 0.1252 0.1252
8 Co 0.8748 0.8748 0.8748
9 O 0.0609 0.0609 0.0609
10 O 0.1898 0.1898 0.1898
11 O 0.3108 0.3108 0.3108
12 O 0.4399 0.4399 0.4399
13 O 0.5601 0.5601 0.5601
14 O 0.6892 0.6892 0.6892
15 O 0.8102 0.8102 0.8102
16 O 0.9391 0.9391 0.9391

The 12 most intense peaks (10° ≤ 2θ ≤ 90°), by angle:
2θ = 18.28°, 4.854 Å, intensity 100.0; 2θ = 35.42°, 2.534 Å, intensity 42.7; 2θ = 37.05°, 2.426 Å, intensity 18.5; 2θ = 43.05°, 2.101 Å, intensity 79.2; 2θ = 47.13°, 1.928 Å, intensity 14.1; 2θ = 56.92°, 1.618 Å, intensity 16.4; 2θ = 62.51°, 1.486 Å, intensity 43.3; 2θ = 65.73°, 1.421 Å, intensity 14.7; 2θ = 74.95°, 1.267 Å, intensity 9.5; 2θ = 78.91°, 1.213 Å, intensity 13.0; 2θ = 81.83°, 1.177 Å, intensity 7.6; 2θ = 89.58°, 1.094 Å, intensity 7.0